Record 1
Starting from a structure optimized by DFT (PBE), the powder XRD pattern of DyLu2 was computed for Cu Kα (weighted mean of Kα1 and Kα2).

abc: 6.4466 6.4466 6.4466
angles: 60.00 60.00 60.00
Atoms (fractional coordinates):
Dy: 0.1250 0.1250 0.1250
Dy: 0.8750 0.8750 0.8750
Lu: 0.0000 0.5000 0.5000
Lu: 0.5000 0.0000 0.5000
Lu: 0.5000 0.5000 0.0000
Lu: 0.5000 0.5000 0.5000

Peak list (8 most intense, 2θ = 15–90°, most intense first)
| d_spacing | 2theta | I (rel.) |
| --- | --- | --- |
| 2.749 | 32.57 | 100 |
| 2.632 | 34.07 | 43 |
| 1.755 | 52.13 | 36 |
| 1.612 | 57.15 | 32 |
| 3.223 | 27.68 | 24 |
| 1.187 | 81.01 | 23 |
| 1.374 | 68.24 | 18 |
| 1.390 | 67.35 | 12 |



Record 2
Starting from a structure optimized by DFT (PBE), the powder XRD pattern of DyHo2Co7Ni2 was computed for Cu Kα (weighted mean of Kα1 and Kα2).

abc: 8.6318 8.6318 8.6318
angles: 33.10 33.10 33.10
Atoms (fractional coordinates):
Dy: 0.0000 0.0000 0.0000
Ho: 0.1395 0.1395 0.1395
Ho: 0.8605 0.8605 0.8605
Co: 0.0807 0.5822 0.5822
Co: 0.4178 0.4178 0.9193
Co: 0.4178 0.9193 0.4178
Co: 0.5000 0.5000 0.5000
Co: 0.5822 0.0807 0.5822
Co: 0.5822 0.5822 0.0807
Co: 0.9193 0.4178 0.4178
Ni: 0.3337 0.3337 0.3337
Ni: 0.6663 0.6663 0.6663

Peak list (8 most intense, 2θ = 15–90°, most intense first)
| d_spacing | 2theta | I (rel.) |
| --- | --- | --- |
| 2.105 | 42.96 | 100 |
| 2.459 | 36.55 | 58 |
| 2.701 | 33.17 | 53 |
| 2.483 | 36.17 | 44 |
| 2.121 | 42.62 | 42 |
| 1.341 | 70.21 | 22 |
| 1.229 | 77.67 | 21 |
| 1.462 | 63.65 | 17 |



Record 3
Starting from a structure optimized by DFT (PBE), the powder XRD pattern of SrBi2Pt was computed for Cu Kα (weighted mean of Kα1 and Kα2).

abc: 17.2822 4.9313 15.9567
angles: 90.00 90.00 90.00
Atoms (fractional coordinates):
Sr: 0.1198 0.2500 0.2326
Sr: 0.1455 0.7500 0.6089
Sr: 0.1534 0.2500 0.9736
Sr: 0.3466 0.7500 0.4736
Sr: 0.3545 0.2500 0.1089
Sr: 0.3802 0.7500 0.7326
Sr: 0.6198 0.2500 0.2674
Sr: 0.6455 0.7500 0.8911
Sr: 0.6534 0.2500 0.5264
Sr: 0.8466 0.7500 0.0264
Sr: 0.8545 0.2500 0.3911
Sr: 0.8802 0.7500 0.7674
Bi: 0.0226 0.7500 0.9242
Bi: 0.0334 0.2500 0.7378
Bi: 0.0414 0.2500 0.4516
Bi: 0.1677 0.7500 0.3759
Bi: 0.1869 0.7500 0.8281
Bi: 0.2115 0.7500 0.1097
Bi: 0.2885 0.2500 0.6097
Bi: 0.3131 0.2500 0.3281
Bi: 0.3323 0.2500 0.8759
Bi: 0.4586 0.7500 0.9516
Bi: 0.4666 0.7500 0.2378
Bi: 0.4774 0.2500 0.4242
Bi: 0.5226 0.7500 0.5758
Bi: 0.5334 0.2500 0.7622
Bi: 0.5414 0.2500 0.0484
Bi: 0.6677 0.7500 0.1241
Bi: 0.6869 0.7500 0.6719
Bi: 0.7115 0.7500 0.3903
Bi: 0.7885 0.2500 0.8903
Bi: 0.8131 0.2500 0.1719
Bi: 0.8323 0.2500 0.6241
Bi: 0.9586 0.7500 0.5484
Bi: 0.9666 0.7500 0.2622
Bi: 0.9774 0.2500 0.0758
Pt: 0.0469 0.7500 0.1041
Pt: 0.2001 0.2500 0.7558
Pt: 0.2028 0.2500 0.4584
Pt: 0.2972 0.7500 0.9584
Pt: 0.2999 0.7500 0.2558
Pt: 0.4531 0.2500 0.6041
Pt: 0.5469 0.7500 0.3959
Pt: 0.7001 0.2500 0.7442
Pt: 0.7028 0.2500 0.0416
Pt: 0.7972 0.7500 0.5416
Pt: 0.7999 0.7500 0.2442
Pt: 0.9531 0.2500 0.8959

Peak list (8 most intense, 2θ = 15–90°, most intense first)
| d_spacing | 2theta | I (rel.) |
| --- | --- | --- |
| 2.919 | 30.63 | 100 |
| 2.788 | 32.10 | 83 |
| 2.466 | 36.44 | 78 |
| 4.537 | 19.57 | 54 |
| 2.533 | 35.44 | 42 |
| 2.110 | 42.85 | 36 |
| 2.069 | 43.75 | 32 |
| 1.767 | 51.74 | 29 |



Record 4
Starting from a structure optimized by DFT (PBE), the powder XRD pattern of CoC3 was computed for Cu Kα (weighted mean of Kα1 and Kα2).

abc: 2.5097 2.5097 12.1782
angles: 90.00 90.00 90.00
Atoms (fractional coordinates):
Co: 0.0000 0.0000 0.0000
Co: 0.5000 0.5000 0.5000
C: 0.0000 0.0000 0.5003
C: 0.0000 0.5000 0.2508
C: 0.0000 0.5000 0.7508
C: 0.5000 0.0000 0.2508
C: 0.5000 0.0000 0.7508
C: 0.5000 0.5000 0.0003

Peak list (8 most intense, 2θ = 15–90°, most intense first)
| d_spacing | 2theta | I (rel.) |
| --- | --- | --- |
| 3.045 | 29.34 | 100 |
| 2.458 | 36.56 | 63 |
| 1.704 | 53.81 | 56 |
| 2.135 | 42.34 | 42 |
| 1.336 | 70.48 | 22 |
| 1.748 | 52.34 | 22 |
| 1.533 | 60.37 | 14 |
| 1.160 | 83.29 | 14 |



Record 5
Starting from a structure optimized by DFT (PBE), the powder XRD pattern of LiHfHg3S4 was computed for Cu Kα (weighted mean of Kα1 and Kα2).

abc: 7.1301 7.6134 10.1725
angles: 90.00 107.88 90.00
Atoms (fractional coordinates):
Li: 0.0000 0.2500 0.0499
Li: 0.0000 0.7500 0.9501
Hf: 0.2658 0.7500 0.2554
Hf: 0.7342 0.2500 0.7446
Hg: 0.1909 0.0434 0.4876
Hg: 0.1909 0.4566 0.4876
Hg: 0.2137 0.2500 0.7345
Hg: 0.7863 0.7500 0.2655
Hg: 0.8091 0.5434 0.5124
Hg: 0.8091 0.9566 0.5124
S: 0.0368 0.5120 0.1911
S: 0.0368 0.9880 0.1911
S: 0.4210 0.7500 0.5053
S: 0.4488 0.7500 0.0966
S: 0.5512 0.2500 0.9034
S: 0.5790 0.2500 0.4947
S: 0.9632 0.0120 0.8089
S: 0.9632 0.4880 0.8089

Peak list (8 most intense, 2θ = 15–90°, most intense first)
| d_spacing | 2theta | I (rel.) |
| --- | --- | --- |
| 2.992 | 29.86 | 100 |
| 3.226 | 27.65 | 86 |
| 2.491 | 36.06 | 78 |
| 3.393 | 26.27 | 52 |
| 2.339 | 38.48 | 47 |
| 2.420 | 37.15 | 43 |
| 2.059 | 43.98 | 40 |
| 2.971 | 30.08 | 36 |



Record 6
Starting from a structure optimized by DFT (PBE), the powder XRD pattern of TbB4Mo was computed for Cu Kα (weighted mean of Kα1 and Kα2).

abc: 6.0365 11.6669 3.6304
angles: 90.00 90.00 90.00
Atoms (fractional coordinates):
Tb: 0.1269 0.1500 0.0000
Tb: 0.3731 0.6500 0.0000
Tb: 0.6269 0.3500 0.0000
Tb: 0.8731 0.8500 0.0000
B: 0.0242 0.6932 0.5000
B: 0.1139 0.5473 0.5000
B: 0.1337 0.9680 0.5000
B: 0.2137 0.8139 0.5000
B: 0.2863 0.3139 0.5000
B: 0.3663 0.4680 0.5000
B: 0.3861 0.0473 0.5000
B: 0.4758 0.1932 0.5000
B: 0.5242 0.8068 0.5000
B: 0.6139 0.9527 0.5000
B: 0.6337 0.5320 0.5000
B: 0.7137 0.6861 0.5000
B: 0.7863 0.1861 0.5000
B: 0.8663 0.0320 0.5000
B: 0.8861 0.4527 0.5000
B: 0.9758 0.3068 0.5000
Mo: 0.1296 0.4165 0.0000
Mo: 0.3704 0.9165 0.0000
Mo: 0.6296 0.0835 0.0000
Mo: 0.8704 0.5835 0.0000

Peak list (8 most intense, 2θ = 15–90°, most intense first)
| d_spacing | 2theta | I (rel.) |
| --- | --- | --- |
| 2.275 | 39.61 | 100 |
| 3.630 | 24.52 | 82 |
| 2.920 | 30.61 | 81 |
| 1.993 | 45.51 | 30 |
| 2.128 | 42.48 | 29 |
| 2.429 | 37.00 | 28 |
| 3.269 | 27.28 | 25 |
| 1.542 | 60.01 | 24 |



Record 7
Starting from a structure optimized by DFT (PBE), the powder XRD pattern of Dy2LuIn3AgPt2 was computed for Cu Kα (weighted mean of Kα1 and Kα2).

abc: 3.7466 7.7983 7.7983
angles: 119.83 90.00 90.00
Atoms (fractional coordinates):
Dy: 0.0000 0.2046 0.7954
Dy: 0.0000 0.7954 0.2046
Lu: 0.0000 0.6145 0.6145
In: 0.5000 0.2059 0.4741
In: 0.5000 0.4741 0.2059
In: 0.5000 0.9346 0.9346
Ag: 0.0000 0.2056 0.2056
Pt: 0.5000 0.5391 0.8677
Pt: 0.5000 0.8677 0.5391

Peak list (8 most intense, 2θ = 15–90°, most intense first)
| d_spacing | 2theta | I (rel.) |
| --- | --- | --- |
| 2.703 | 33.15 | 100 |
| 2.509 | 35.78 | 92 |
| 2.255 | 39.98 | 36 |
| 2.557 | 35.10 | 29 |
| 1.873 | 48.61 | 28 |
| 1.440 | 64.71 | 26 |
| 2.111 | 42.84 | 26 |
| 1.432 | 65.15 | 22 |



Record 8
Starting from a structure optimized by DFT (PBE), the powder XRD pattern of Er3Ga5 was computed for Cu Kα (weighted mean of Kα1 and Kα2).

abc: 11.3690 9.6063 6.0481
angles: 90.00 90.00 90.00
Atoms (fractional coordinates):
Er: 0.0737 0.2500 0.1521
Er: 0.1479 0.5094 0.6096
Er: 0.1479 0.9906 0.6096
Er: 0.3521 0.0094 0.1096
Er: 0.3521 0.4906 0.1096
Er: 0.4263 0.7500 0.6521
Er: 0.5737 0.2500 0.3479
Er: 0.6479 0.5094 0.8904
Er: 0.6479 0.9906 0.8904
Er: 0.8521 0.0094 0.3904
Er: 0.8521 0.4906 0.3904
Er: 0.9263 0.7500 0.8479
Ga: 0.0053 0.2500 0.6272
Ga: 0.0909 0.5524 0.1250
Ga: 0.0909 0.9476 0.1250
Ga: 0.2014 0.7500 0.8957
Ga: 0.2482 0.7500 0.3267
Ga: 0.2518 0.2500 0.8267
Ga: 0.2986 0.2500 0.3957
Ga: 0.4091 0.0524 0.6250
Ga: 0.4091 0.4476 0.6250
Ga: 0.4947 0.7500 0.1272
Ga: 0.5053 0.2500 0.8728
Ga: 0.5909 0.5524 0.3750
Ga: 0.5909 0.9476 0.3750
Ga: 0.7014 0.7500 0.6043
Ga: 0.7482 0.7500 0.1733
Ga: 0.7518 0.2500 0.6733
Ga: 0.7986 0.2500 0.1043
Ga: 0.9091 0.0524 0.8750
Ga: 0.9091 0.4476 0.8750
Ga: 0.9947 0.7500 0.3728

Peak list (8 most intense, 2θ = 15–90°, most intense first)
| d_spacing | 2theta | I (rel.) |
| --- | --- | --- |
| 2.497 | 35.97 | 100 |
| 2.402 | 37.45 | 87 |
| 2.364 | 38.07 | 82 |
| 2.670 | 33.57 | 79 |
| 2.446 | 36.74 | 76 |
| 2.793 | 32.05 | 65 |
| 2.159 | 41.85 | 64 |
| 3.137 | 28.45 | 54 |



Record 9
Starting from a structure optimized by DFT (PBE), the powder XRD pattern of Al4Ni25 was computed for Cu Kα (weighted mean of Kα1 and Kα2).

abc: 7.4740 7.4740 7.4740
angles: 109.47 109.47 109.47
Atoms (fractional coordinates):
Al: 0.0000 0.0000 0.6442
Al: 0.0000 0.6442 0.0000
Al: 0.3558 0.3558 0.3558
Al: 0.6442 0.0000 0.0000
Ni: 0.0000 0.0000 0.0000
Ni: 0.0000 0.1905 0.3762
Ni: 0.0000 0.3762 0.1905
Ni: 0.0000 0.4092 0.6840
Ni: 0.0000 0.6840 0.4092
Ni: 0.1857 0.8095 0.8095
Ni: 0.1905 0.0000 0.3762
Ni: 0.1905 0.3762 0.0000
Ni: 0.2749 0.5908 0.5908
Ni: 0.3160 0.3160 0.7251
Ni: 0.3160 0.7251 0.3160
Ni: 0.3762 0.0000 0.1905
Ni: 0.3762 0.1905 0.0000
Ni: 0.4092 0.0000 0.6840
Ni: 0.4092 0.6840 0.0000
Ni: 0.5908 0.2749 0.5908
Ni: 0.5908 0.5908 0.2749
Ni: 0.6238 0.6238 0.8143
Ni: 0.6238 0.8143 0.6238
Ni: 0.6840 0.0000 0.4092
Ni: 0.6840 0.4092 0.0000
Ni: 0.7251 0.3160 0.3160
Ni: 0.8095 0.1857 0.8095
Ni: 0.8095 0.8095 0.1857
Ni: 0.8143 0.6238 0.6238

Peak list (8 most intense, 2θ = 15–90°, most intense first)
| d_spacing | 2theta | I (rel.) |
| --- | --- | --- |
| 2.034 | 44.54 | 100 |
| 1.840 | 49.54 | 39 |
| 1.693 | 54.19 | 24 |
| 1.174 | 82.06 | 22 |
| 2.158 | 41.87 | 11 |
| 1.762 | 51.90 | 10 |
| 3.523 | 25.28 | 10 |
| 1.220 | 78.34 | 10 |



Record 10
Starting from a structure optimized by DFT (PBE), the powder XRD pattern of Hf2Hg3Au was computed for Cu Kα (weighted mean of Kα1 and Kα2).

abc: 3.4552 3.4552 10.2290
angles: 90.00 90.00 90.00
Atoms (fractional coordinates):
Hf: 0.0000 0.0000 0.0000
Hf: 0.5000 0.5000 0.4703
Hg: 0.0000 0.0000 0.3075
Hg: 0.0000 0.0000 0.6467
Hg: 0.5000 0.5000 0.8241
Au: 0.5000 0.5000 0.1488

Peak list (8 most intense, 2θ = 15–90°, most intense first)
| d_spacing | 2theta | I (rel.) |
| --- | --- | --- |
| 2.427 | 37.04 | 100 |
| 2.443 | 36.79 | 53 |
| 1.407 | 66.43 | 37 |
| 1.728 | 53.01 | 19 |
| 1.398 | 66.93 | 16 |
| 1.213 | 78.88 | 11 |
| 1.093 | 89.75 | 9 |
| 1.091 | 89.90 | 9 |



Record 11
Starting from a structure optimized by DFT (PBE), the powder XRD pattern of DyScS2I2 was computed for Cu Kα (weighted mean of Kα1 and Kα2).

abc: 4.0440 5.2386 9.5476
angles: 90.00 90.00 90.00
Atoms (fractional coordinates):
Dy: 0.0000 0.0000 0.0000
Sc: 0.5000 0.5000 0.7728
S: 0.0000 0.5000 0.9445
S: 0.5000 0.0000 0.8082
I: 0.0000 0.5000 0.5528
I: 0.5000 0.0000 0.2380

Peak list (8 most intense, 2θ = 15–90°, most intense first)
| d_spacing | 2theta | I (rel.) |
| --- | --- | --- |
| 4.593 | 19.33 | 100 |
| 3.086 | 28.94 | 83 |
| 1.997 | 45.42 | 47 |
| 2.257 | 39.95 | 42 |
| 3.035 | 29.43 | 41 |
| 2.619 | 34.23 | 31 |
| 2.022 | 44.82 | 19 |
| 1.851 | 49.24 | 17 |